CuNiF5: simulated powder diffraction line list (a wavelength of 1.5418 Å), based on a crystal structure in Alexandria, relaxed with PBE+U.
Lines closer than 0.1° are merged.

Main lines, sorted by position (2θ from 15° to 90°):
| 2θ (°) | I (rel.) |
| --- | --- |
| 23.34 | 99 |
| 28.16 | 100 |
| 28.33 | 70 |
| 36.89 | 18 |
| 37.02 | 18 |
| 47.73 | 29 |
| 49.75 | 25 |
| 50.05 | 34 |
| 55.65 | 16 |
| 55.92 | 18 |
| 56.38 | 43 |
| 71.65 | 20 |

Cell and atoms:
Lattice parameters (Å, degrees): 5.2737 5.2737 5.2737 139.33 106.62 87.45
Sites, in units of the cell vectors:
1 Cu 0.0000 0.0000 0.0000
2 Ni 0.5000 0.5000 0.0000
3 F 0.0000 0.5000 0.5000
4 F 0.2471 0.2471 0.0000
5 F 0.3104 0.0000 0.3104
6 F 0.6896 0.0000 0.6896
7 F 0.7529 0.7529 0.0000